1.
This entry pairs a crystal structure of Sm3Si6N11 with its calculated X-ray powder pattern. Radiation: Cu Kα (λ = 1.5418 Å). Structure: DFT lattice parameters and positions (PBE).
Peak positions follow from Bragg's law for the DFT cell and can differ from measured ones.

The 10 most intense peaks (2θ = 5–70°), sorted by position:
2theta  intensity
12.43  26
18.13  84
26.91  65
28.02  40
31.06  72
33.58  100
36.77  73
41.31  34
52.99  56
56.49  28

Structure:
Unit cell a=10.070 b=10.070 c=4.894 alpha=90.00 beta=90.00 gamma=90.00
Positions (direct):
Sm1 0.000 0.000 0.000
Sm2 0.182 0.318 0.013
Sm3 0.318 0.818 0.013
Sm4 0.500 0.500 0.000
Sm5 0.682 0.182 0.013
Sm6 0.818 0.682 0.013
Si1 0.080 0.792 0.551
Si2 0.118 0.618 0.063
Si3 0.208 0.080 0.551
Si4 0.292 0.580 0.551
Si5 0.382 0.118 0.063
Si6 0.420 0.292 0.551
Si7 0.580 0.708 0.551
Si8 0.618 0.882 0.063
Si9 0.708 0.420 0.551
Si10 0.792 0.920 0.551
Si11 0.882 0.382 0.063
Si12 0.920 0.208 0.551
N1 0.000 0.500 0.090
N2 0.078 0.773 0.197
N3 0.079 0.180 0.667
N4 0.154 0.654 0.716
N5 0.180 0.921 0.667
N6 0.227 0.078 0.197
N7 0.273 0.578 0.197
N8 0.320 0.421 0.667
N9 0.346 0.154 0.716
N10 0.421 0.680 0.667
N11 0.422 0.273 0.197
N12 0.500 0.000 0.090
N13 0.578 0.727 0.197
N14 0.579 0.320 0.667
N15 0.654 0.846 0.716
N16 0.680 0.579 0.667
N17 0.727 0.422 0.197
N18 0.773 0.922 0.197
N19 0.820 0.079 0.667
N20 0.846 0.346 0.716
N21 0.921 0.820 0.667
N22 0.922 0.227 0.197

2.
This entry pairs a crystal structure of ZrSi with its calculated X-ray powder pattern. Radiation: Cu Kα (λ = 1.5418 Å). Structure: DFT lattice parameters and positions (PBE).
Peak positions follow from Bragg's law for the DFT cell and can differ from measured ones.

The 10 most intense peaks (2θ = 5–70°), sorted by position:
2theta  intensity
29.70  44
34.72  100
36.01  46
36.14  25
43.47  29
43.59  17
48.04  19
48.16  19
57.77  16
61.57  29

Structure:
Unit cell a=5.319 b=5.319 c=3.779 alpha=90.00 beta=90.00 gamma=138.28
Positions (direct):
Zr1 0.145 0.855 0.750
Zr2 0.855 0.145 0.250
Si1 0.421 0.579 0.750
Si2 0.579 0.421 0.250

3.
This entry pairs a crystal structure of MgAl4Tl4O12 with its calculated X-ray powder pattern. Radiation: Cu Kα (λ = 1.5418 Å). Structure: DFT lattice parameters and positions (PBE).
Peak positions follow from Bragg's law for the DFT cell and can differ from measured ones.

The 10 most intense peaks (2θ = 5–70°), sorted by position:
2theta  intensity
17.79  68
22.60  80
26.48  50
28.91  100
31.38  44
32.77  27
35.08  80
39.02  40
40.18  32
46.14  28

Structure:
Unit cell a=5.893 b=7.869 c=6.148 alpha=90.00 beta=111.96 gamma=90.00
Positions (direct):
Mg1 0.000 0.000 0.000
Al1 0.133 0.269 0.321
Al2 0.133 0.731 0.321
Al3 0.695 0.290 0.778
Al4 0.695 0.710 0.778
Tl1 0.196 0.500 0.787
Tl2 0.282 0.000 0.749
Tl3 0.635 0.000 0.371
Tl4 0.655 0.500 0.297
O1 0.068 0.500 0.368
O2 0.245 0.000 0.319
O3 0.461 0.295 0.476
O4 0.461 0.705 0.476
O5 0.504 0.323 0.952
O6 0.504 0.677 0.952
O7 0.680 0.000 0.755
O8 0.809 0.500 0.712
O9 0.921 0.201 0.454
O10 0.921 0.799 0.454
O11 0.993 0.251 0.009
O12 0.993 0.749 0.009

What is the formula in the first record?
Sm3Si6N11